Theoretical powder diffractogram
Compound: Y2Er4Sc5
Radiation: Cu Kα, 1.54184 Å
Structure: a crystal structure in Alexandria, relaxed with GGA-PBE
No peak broadening, texture or thermal motion is included.

Structural model:
Cell: 10.5877 10.5877 8.6447 Å, 103.93 103.93 19.30°
Element x y z (fractional)
Y (0.1170, 0.1170, 0.4962)
Y (0.8830, 0.8830, 0.5038)
Er (0.1751, 0.1751, 0.9155)
Er (0.4712, 0.4712, 0.2877)
Er (0.5288, 0.5288, 0.7123)
Er (0.8249, 0.8249, 0.0845)
Sc (0.0000, 0.0000, 0.0000)
Sc (0.2460, 0.2460, 0.3312)
Sc (0.3822, 0.3822, 0.8217)
Sc (0.6178, 0.6178, 0.1783)
Sc (0.7540, 0.7540, 0.6688)

Main lines, in order of rising 2θ (15 to 90 degrees two-theta):
2theta	d [Å]	I/Imax
20.9	4.258	25
28.4	3.142	63
30.9	2.897	80
32.6	2.746	65
33.6	2.671	99
34.1	2.631	100
34.4	2.605	34
51.5	1.775	41
58.4	1.580	22
61.2	1.514	22

Theoretical powder diffractogram
Compound: CdBi2H8
Radiation: Cu Kα, 1.54184 Å
Structure: a crystal structure in Alexandria, relaxed with GGA-PBE
No peak broadening, texture or thermal motion is included.

Structural model:
Cell: 3.3218 7.1471 7.8297 Å, 102.00 102.21 91.43°
Element x y z (fractional)
Cd (0.0000, 0.0000, 0.0000)
Bi (0.2266, 0.7605, 0.4468)
Bi (0.7734, 0.2395, 0.5532)
H (0.1303, 0.8312, 0.2272)
H (0.1536, 0.5073, 0.3286)
H (0.2285, 0.8315, 0.8663)
H (0.4393, 0.5368, 0.9796)
H (0.5607, 0.4632, 0.0204)
H (0.7715, 0.1685, 0.1337)
H (0.8464, 0.4927, 0.6714)
H (0.8697, 0.1688, 0.7728)

Main lines, in order of rising 2θ (15 to 90 degrees two-theta):
2theta	d [Å]	I/Imax
19.2	4.619	29
23.8	3.734	65
24.5	3.639	49
25.6	3.486	24
25.7	3.462	66
30.6	2.920	100
31.3	2.859	49
33.2	2.698	33
33.6	2.667	30
47.6	1.910	29

Theoretical powder diffractogram
Compound: HgPd2F6
Radiation: Cu Kα, 1.54184 Å
Structure: a crystal structure in Alexandria, relaxed with GGA-PBE
No peak broadening, texture or thermal motion is included.

Structural model:
Cell: 7.1399 7.1399 7.8400 Å, 109.85 109.85 86.21°
Element x y z (fractional)
Hg (0.0689, 0.9311, 0.7500)
Hg (0.9311, 0.0689, 0.2500)
Pd (0.2898, 0.4212, 0.7953)
Pd (0.4212, 0.2898, 0.2953)
Pd (0.5788, 0.7102, 0.7047)
Pd (0.7102, 0.5788, 0.2047)
F (0.0559, 0.1944, 0.6467)
F (0.0772, 0.6383, 0.8012)
F (0.1944, 0.0559, 0.1467)
F (0.3419, 0.4532, 0.5516)
F (0.3617, 0.9228, 0.6988)
F (0.4532, 0.3419, 0.0516)
F (0.5468, 0.6581, 0.9484)
F (0.6383, 0.0772, 0.3012)
F (0.6581, 0.5468, 0.4484)
F (0.8056, 0.9441, 0.8533)
F (0.9228, 0.3617, 0.1988)
F (0.9441, 0.8056, 0.3533)

Main lines, in order of rising 2θ (15 to 90 degrees two-theta):
2theta	d [Å]	I/Imax
18.2	4.879	87
21.3	4.169	38
25.3	3.521	42
25.7	3.470	67
29.9	2.985	100
30.5	2.934	66
33.7	2.658	34
39.1	2.303	44
50.8	1.799	27
51.2	1.783	29

Theoretical powder diffractogram
Compound: PaS8I2
Radiation: Cu Kα, 1.54184 Å
Structure: a crystal structure in Alexandria, relaxed with GGA-PBE
No peak broadening, texture or thermal motion is included.

Structural model:
Cell: 6.1601 6.4432 11.3368 Å, 80.74 74.51 64.06°
Element x y z (fractional)
Pa (0.0000, 0.0000, 0.0000)
S (0.0160, 0.2120, 0.7731)
S (0.1068, 0.5651, 0.9362)
S (0.3388, 0.9314, 0.7588)
S (0.4172, 0.9263, 0.0733)
S (0.5828, 0.0737, 0.9267)
S (0.6612, 0.0686, 0.2412)
S (0.8932, 0.4349, 0.0638)
S (0.9840, 0.7880, 0.2269)
I (0.3609, 0.6399, 0.6203)
I (0.6391, 0.3601, 0.3797)

Main lines, in order of rising 2θ (15 to 90 degrees two-theta):
2theta	d [Å]	I/Imax
16.6	5.334	100
17.0	5.222	21
17.2	5.157	49
17.7	5.008	54
21.8	4.074	21
24.5	3.637	19
29.0	3.080	33
30.0	2.980	29
33.6	2.667	39
37.2	2.418	21

Theoretical powder diffractogram
Compound: NpZnCoH6
Radiation: Cu Kα, 1.54184 Å
Structure: a crystal structure in Alexandria, relaxed with GGA-PBE
No peak broadening, texture or thermal motion is included.

Structural model:
Cell: 4.3643 4.3643 4.2969 Å, 90.00 90.00 120.00°
Element x y z (fractional)
Np (0.0000, 0.0000, 0.0000)
Zn (0.3333, 0.6667, 0.5000)
Co (0.6667, 0.3333, 0.5000)
H (0.5168, 0.0336, 0.2259)
H (0.5168, 0.0336, 0.7741)
H (0.5168, 0.4832, 0.2259)
H (0.5168, 0.4832, 0.7741)
H (0.9664, 0.4832, 0.2259)
H (0.9664, 0.4832, 0.7741)

Main lines, in order of rising 2θ (15 to 90 degrees two-theta):
2theta	d [Å]	I/Imax
23.5	3.780	29
31.5	2.838	100
41.4	2.182	36
42.1	2.148	11
48.8	1.868	10
52.9	1.730	24
60.5	1.531	24
69.3	1.356	21
70.3	1.339	10
85.0	1.141	6

Theoretical powder diffractogram
Compound: La3Co3Cu
Radiation: Cu Kα, 1.54184 Å
Structure: a crystal structure in Alexandria, relaxed with GGA-PBE
No peak broadening, texture or thermal motion is included.

Structural model:
Cell: 5.5212 5.5212 12.8347 Å, 90.00 90.00 132.60°
Element x y z (fractional)
La (0.0142, 0.9858, 0.7500)
La (0.2787, 0.7213, 0.1019)
La (0.2787, 0.7213, 0.3981)
La (0.7213, 0.2787, 0.6019)
La (0.7213, 0.2787, 0.8981)
La (0.9858, 0.0142, 0.2500)
Co (0.3304, 0.6696, 0.7500)
Co (0.4342, 0.5658, 0.5828)
Co (0.4342, 0.5658, 0.9172)
Co (0.5658, 0.4342, 0.0828)
Co (0.5658, 0.4342, 0.4172)
Co (0.6696, 0.3304, 0.2500)
Cu (0.0000, 0.0000, 0.0000)
Cu (0.0000, 0.0000, 0.5000)

Main lines, in order of rising 2θ (15 to 90 degrees two-theta):
2theta	d [Å]	I/Imax
30.3	2.946	100
33.1	2.709	65
33.4	2.684	71
34.1	2.627	54
35.7	2.518	66
39.6	2.274	62
40.7	2.219	69
41.5	2.176	46
53.4	1.717	33
59.5	1.554	31